For Zr4Ge6Ir7, DFT lattice parameters and positions (GGA-PBE) gives the simulated XRD peak list in this record (copper Kα).

Top 10 peaks for 2θ from 10° to 90°, in order of rising 2θ:
h k l, 2θ/deg, intensity
2 0 0, 21.6, 17
2 1 1, 26.5, 33
2 2 2, 37.8, 100
3 2 1, 41.0, 54
4 0 0, 44.0, 73
3 3 2, 52.1, 25
4 4 0, 63.9, 41
6 2 2, 76.7, 29
6 3 1, 78.8, 16
6 3 3, 86.9, 15

Atomic structure:
```
data_Zr4Ge6Ir7
_cell_length_a 8.238
_cell_length_b 8.238
_cell_length_c 8.238
_cell_angle_alpha 90.00
_cell_angle_beta 90.00
_cell_angle_gamma 90.00
_space_group_name_H-M_alt 'I m -3 m'
_space_group_IT_number 229
_space_group_name_Hall '-I 4 2 3'
loop_
_atom_site_label
_atom_site_type_symbol
_atom_site_fract_x
_atom_site_fract_y
_atom_site_fract_z
Zr1 Zr 0.250 0.250 0.250
Ge1 Ge 0.000 0.000 0.314
Ir1 Ir 0.000 0.000 0.000
Ir2 Ir 0.000 0.250 0.500
```


For GdDyZr2As2, DFT lattice parameters and positions (GGA-PBE) gives the simulated XRD peak list in this record (copper Kα).

Top 10 peaks for 2θ from 10° to 90°, in order of rising 2θ:
h k l, 2θ/deg, intensity
1 0 3, 27.5, 35
1 1 0, 30.8, 30
1 1 2, 32.9, 100
0 0 6, 33.7, 40
1 0 5, 35.6, 55
1 1 4, 38.4, 73
2 0 0, 44.2, 61
2 0 6, 56.7, 36
2 1 5, 58.0, 27
2 2 0, 64.3, 20

Atomic structure:
```
data_GdDyZr2As2
_cell_length_a 4.100
_cell_length_b 4.100
_cell_length_c 15.979
_cell_angle_alpha 90.00
_cell_angle_beta 90.00
_cell_angle_gamma 90.00
_space_group_name_H-M_alt 'I 4 m m'
_space_group_IT_number 107
_space_group_name_Hall 'I 4 -2'
loop_
_atom_site_label
_atom_site_type_symbol
_atom_site_fract_x
_atom_site_fract_y
_atom_site_fract_z
Gd1 Gd 0.000 0.000 0.000
Dy1 Dy 0.000 0.000 0.355
Zr1 Zr 0.000 0.500 0.178
As1 As 0.000 0.000 0.546
As2 As 0.000 0.000 0.810
```


For CsAgAu2S2, DFT lattice parameters and positions (GGA-PBE) gives the simulated XRD peak list in this record (copper Kα).

Top 10 peaks for 2θ from 10° to 90°, in order of rising 2θ:
h k l, 2θ/deg, intensity
0 0 1, 15.8, 100
2 0 -1, 22.7, 71
1 1 1, 23.0, 59
2 0 1, 24.1, 34
0 0 2, 31.9, 98
2 2 0, 32.7, 96
4 0 0, 34.8, 42
2 2 1, 36.9, 37
2 2 -2, 45.5, 50
2 2 2, 47.0, 41

Atomic structure:
```
data_CsAgAu2S2
_cell_length_a 10.338
_cell_length_b 6.468
_cell_length_c 5.633
_cell_angle_alpha 90.00
_cell_angle_beta 93.31
_cell_angle_gamma 90.00
_space_group_name_H-M_alt 'C 1 2/m 1'
_space_group_IT_number 12
_space_group_name_Hall '-C 2y'
loop_
_atom_site_label
_atom_site_type_symbol
_atom_site_fract_x
_atom_site_fract_y
_atom_site_fract_z
Cs1 Cs 0.000 0.000 0.000
Ag1 Ag 0.000 0.500 0.500
Au1 Au 0.250 0.250 0.500
S1 S 0.172 0.500 0.225
```


For NdSmAg2Pb2, DFT lattice parameters and positions (GGA-PBE) gives the simulated XRD peak list in this record (copper Kα).

Top 10 peaks for 2θ from 10° to 90°, in order of rising 2θ:
h k l, 2θ/deg, intensity
0 1 1, 24.1, 27
0 1 2, 31.7, 100
1 1 0, 36.8, 89
1 0 3, 41.6, 26
2 0 2, 49.3, 29
1 1 4, 61.9, 18
1 2 2, 63.1, 28
3 0 0, 66.3, 16
2 1 3, 69.5, 11
3 1 2, 86.9, 12

Atomic structure:
```
data_NdSmAg2Pb2
_cell_length_a 4.8843
_cell_length_b 4.8843
_cell_length_c 7.5953
_cell_angle_alpha 90.00
_cell_angle_beta 90.00
_cell_angle_gamma 120.00
_space_group_name_H-M_alt 'P 3 m 1'
_space_group_IT_number 156
_space_group_name_Hall 'P 3 -2"'
loop_
_atom_site_label
_atom_site_type_symbol
_atom_site_fract_x
_atom_site_fract_y
_atom_site_fract_z
Nd1 Nd 0.0000 0.0000 0.0000
Sm1 Sm 0.0000 0.0000 0.5008
Ag1 Ag 0.3333 0.6667 0.1956
Ag2 Ag 0.6667 0.3333 0.6903
Pb1 Pb 0.3333 0.6667 0.7782
Pb2 Pb 0.6667 0.3333 0.2828
```


For Zn, DFT lattice parameters and positions (GGA-PBE) gives the simulated XRD peak list in this record (copper Kα).

Top 10 peaks for 2θ from 10° to 90°, in order of rising 2θ:
h k l, 2θ/deg, intensity
1 1 0, 38.4, 24
0 2 0, 38.7, 12
0 0 2, 39.4, 44
1 1 1, 43.4, 100
0 2 1, 43.7, 49
1 1 2, 56.2, 15
1 3 0, 69.9, 15
1 1 3, 74.3, 18
1 3 2, 83.3, 18
2 2 1, 85.6, 13

Atomic structure:
```
data_Zn
_cell_length_a 2.710
_cell_length_b 4.651
_cell_length_c 4.571
_cell_angle_alpha 90.00
_cell_angle_beta 90.00
_cell_angle_gamma 90.00
_space_group_name_H-M_alt 'C m c m'
_space_group_IT_number 63
_space_group_name_Hall '-C 2c 2'
loop_
_atom_site_label
_atom_site_type_symbol
_atom_site_fract_x
_atom_site_fract_y
_atom_site_fract_z
Zn1 Zn 0.000 0.167 0.250
```


For Ta4AlNiC2, DFT lattice parameters and positions (GGA-PBE) gives the simulated XRD peak list in this record (copper Kα).

Top 10 peaks for 2θ from 10° to 90°, in order of rising 2θ:
h k l, 2θ/deg, intensity
0 0 2, 13.2, 21
0 0 4, 26.6, 14
1 0 0, 33.3, 25
1 0 1, 34.0, 22
1 0 3, 39.1, 100
0 0 6, 40.4, 16
1 0 6, 53.4, 13
1 1 0, 59.6, 22
2 0 3, 73.6, 16
1 1 6, 74.5, 16

Atomic structure:
```
data_Ta4AlNiC2
_cell_length_a 3.1030
_cell_length_b 3.1030
_cell_length_c 13.3949
_cell_angle_alpha 90.00
_cell_angle_beta 90.00
_cell_angle_gamma 120.00
_space_group_name_H-M_alt 'P -6 m 2'
_space_group_IT_number 187
_space_group_name_Hall 'P -6 2'
loop_
_atom_site_label
_atom_site_type_symbol
_atom_site_fract_x
_atom_site_fract_y
_atom_site_fract_z
Ta1 Ta 0.0000 0.0000 0.1471
Ta2 Ta 0.6667 0.3333 0.3340
Al1 Al 0.0000 0.0000 0.5000
Ni1 Ni 0.6667 0.3333 0.0000
C1 C 0.3333 0.6667 0.2400
```


For CsZrHg3Se4, DFT lattice parameters and positions (GGA-PBE) gives the simulated XRD peak list in this record (copper Kα).

Top 10 peaks for 2θ from 10° to 90°, in order of rising 2θ:
h k l, 2θ/deg, intensity
1 0 0, 12.5, 33
1 1 1, 21.7, 100
2 0 0, 25.1, 32
2 2 0, 35.9, 100
3 1 1, 42.3, 53
3 3 1, 56.7, 18
4 2 0, 58.3, 21
4 2 2, 64.5, 29
3 3 3, 68.9, 16
5 3 1, 80.2, 18

Atomic structure:
```
data_CsZrHg3Se4
_cell_length_a 7.082
_cell_length_b 7.082
_cell_length_c 7.082
_cell_angle_alpha 90.00
_cell_angle_beta 90.00
_cell_angle_gamma 90.00
_space_group_name_H-M_alt 'P -4 3 m'
_space_group_IT_number 215
_space_group_name_Hall 'P -4 2 3'
loop_
_atom_site_label
_atom_site_type_symbol
_atom_site_fract_x
_atom_site_fract_y
_atom_site_fract_z
Cs1 Cs 0.000 0.000 0.000
Zr1 Zr 0.500 0.500 0.500
Hg1 Hg 0.000 0.500 0.500
Se1 Se 0.291 0.291 0.291
```


For Sm5Si3O13, DFT lattice parameters and positions (GGA-PBE) gives the simulated XRD peak list in this record (copper Kα).

Top 10 peaks for 2θ from 10° to 90°, in order of rising 2θ:
h k l, 2θ/deg, intensity
2 0 0, 21.6, 36
1 0 2, 27.8, 46
2 1 0, 28.7, 42
2 1 1, 31.5, 100
1 1 2, 31.9, 66
3 0 0, 32.7, 34
2 2 2, 46.3, 36
2 1 3, 49.0, 32
1 4 0, 50.9, 29
4 0 2, 51.7, 32

Atomic structure:
```
data_Sm5Si3O13
_cell_length_a 9.4874
_cell_length_b 9.4874
_cell_length_c 6.9650
_cell_angle_alpha 90.00
_cell_angle_beta 90.00
_cell_angle_gamma 120.00
_space_group_name_H-M_alt 'P 63/m'
_space_group_IT_number 176
_space_group_name_Hall '-P 6c'
loop_
_atom_site_label
_atom_site_type_symbol
_atom_site_fract_x
_atom_site_fract_y
_atom_site_fract_z
Sm1 Sm 0.0099 0.2411 0.2500
Sm2 Sm 0.3333 0.6667 0.0016
Si1 Si 0.0284 0.3979 0.7500
O1 O 0.0000 0.0000 0.2500
O2 O 0.0945 0.3429 0.5627
O3 O 0.1228 0.5976 0.7500
O4 O 0.1697 0.6877 0.2500
```